1.
The following is a simulated powder XRD pattern of YEr2Co6Ni3. It was derived from a GGA-PBE-relaxed structure, using Cu Kα (λ = 1.5418 Å).
Lines closer than 0.1° are merged.

Principal peaks in the range 10 to 80 degrees two-theta, low angle first:
d [Å], two_theta, intensity, (hkl)
2.700, 33.18, 48.4, 1 0 7
2.484, 36.16, 41.8, 0 1 8
2.441, 36.83, 56.7, 1 1 0
2.106, 42.95, 37.0, 0 2 1
2.096, 43.15, 100.0, 1 1 6
1.999, 45.38, 19.9, 0 2 4
1.974, 45.97, 26.1, 0 1 11
1.942, 46.79, 24.3, 2 0 5
1.332, 70.70, 21.5, 3 0 6
1.220, 78.36, 23.1, 2 2 0

Cell and atoms:
Cell lengths 4.8813, 4.8813, 24.5616 Å; angles 90.00, 90.00, 120.00 degrees
Space group R-3m (No. 166, hexagonal axes)
Unique sites:
Y 0.0000 0.0000 0.0000 x3
Er 0.0000 0.0000 0.1394 x6
Co 0.0017 0.5009 0.9182 x18
Ni 0.0000 0.0000 0.3337 x6
Ni 0.0000 0.0000 0.5000 x3

=====

2.
The following is a simulated powder XRD pattern of NdSc2. It was derived from a GGA-PBE-relaxed structure, using Cu Kα (λ = 1.5418 Å).
Lines closer than 0.1° are merged.

Principal peaks in the range 10 to 80 degrees two-theta, low angle first:
d [Å], two_theta, intensity, (hkl)
8.017, 11.04, 47.2, 0 0 1
5.810, 15.25, 44.7, 2 0 -1
4.255, 20.88, 57.7, 2 0 -2
3.140, 28.43, 70.6, 1 1 -1
2.696, 33.23, 83.3, 1 1 -2
2.674, 33.51, 100.0, 0 0 3
2.668, 33.59, 52.1, 4 0 0
2.547, 35.24, 48.0, 4 0 -3
2.450, 36.69, 74.2, 3 1 0
1.520, 60.95, 44.0, 5 1 -5

Cell and atoms:
Cell lengths 11.9527, 3.3779, 8.9794 Å; angles 90.00, 116.77, 90.00 degrees
Space group C2/m (No. 12)
Unique sites:
Nd 0.1420 0.0000 0.1480 x4
Sc 0.0728 0.5000 0.7812 x4
Sc 0.1387 0.0000 0.5198 x4